The following is a theoretical PXRD pattern of Ca3NpI2O6. It was derived from a PBE-relaxed structure, using CuKα.

Largest 6 diffraction maxima, most intense first, 10 to 90 degrees two-theta:
two_theta	I_rel
21.88	100
32.85	57
15.36	54
30.47	51
30.97	46
18.48	43

Structural model:
a = 6.8442 Å, b = 6.8442 Å, c = 6.4335 Å
α = 100.06°, β = 100.06°, γ = 57.89°
Fractional coordinates of all 12 atoms:
Ca: 0.0000 0.0000 0.0000
Ca: 0.0000 0.5000 0.5000
Ca: 0.5000 0.0000 0.5000
Np: 0.5000 0.5000 0.5000
I: 0.2433 0.2433 0.9096
I: 0.7567 0.7567 0.0904
O: 0.2235 0.6726 0.6800
O: 0.3274 0.7765 0.3200
O: 0.3321 0.3321 0.3588
O: 0.6679 0.6679 0.6412
O: 0.6726 0.2235 0.6800
O: 0.7765 0.3274 0.3200


The following is a theoretical PXRD pattern of LaCl3. It was derived from a PBE-relaxed structure, using CuKα.

Largest 6 diffraction maxima, most intense first, 10 to 90 degrees two-theta:
two_theta	I_rel
13.44	100
34.09	90
41.76	74
24.45	61
23.39	40
41.11	33

Structural model:
a = 7.6055 Å, b = 7.6055 Å, c = 4.3690 Å
α = 90.00°, β = 90.00°, γ = 120.00°
Fractional coordinates of all 8 atoms:
La: 0.3333 0.6667 0.2500
La: 0.6667 0.3333 0.7500
Cl: 0.0871 0.3918 0.7500
Cl: 0.3048 0.9129 0.7500
Cl: 0.3918 0.3048 0.2500
Cl: 0.6082 0.6952 0.7500
Cl: 0.6952 0.0871 0.2500
Cl: 0.9129 0.6082 0.2500


The following is a theoretical PXRD pattern of Ba3SrCa5. It was derived from a PBE-relaxed structure, using CuKα.

Largest 6 diffraction maxima, most intense first, 10 to 90 degrees two-theta:
two_theta	I_rel
27.42	100
25.39	98
26.62	81
18.45	80
31.07	70
24.86	64

Structural model:
a = 10.7110 Å, b = 10.7110 Å, c = 13.4977 Å
α = 104.08°, β = 104.08°, γ = 38.89°
Fractional coordinates of all 18 atoms:
Ba: 0.0000 0.0000 0.0000
Ba: 0.0000 0.0000 0.5000
Ba: 0.1578 0.5332 0.9570
Ba: 0.4668 0.8422 0.5430
Ba: 0.5332 0.1578 0.4570
Ba: 0.8422 0.4668 0.0430
Sr: 0.0321 0.9679 0.2500
Sr: 0.9679 0.0321 0.7500
Ca: 0.0426 0.6163 0.6157
Ca: 0.0576 0.5997 0.2798
Ca: 0.3837 0.9574 0.8843
Ca: 0.4003 0.9424 0.2202
Ca: 0.4729 0.5271 0.7500
Ca: 0.5271 0.4729 0.2500
Ca: 0.5997 0.0576 0.7798
Ca: 0.6163 0.0426 0.1157
Ca: 0.9424 0.4003 0.7202
Ca: 0.9574 0.3837 0.3843